Simulated powder diffractogram
Compound: AlNiF5
Radiation: CuKα
Structure: a cell relaxed with GGA+U

Atomic structure:
abc: 5.4487 5.4487 7.5742
angles: 110.74 110.74 86.20
Positions (direct):
Al1 0.0993 0.9007 0.7500
Al2 0.9007 0.0993 0.2500
Ni1 0.5000 0.5000 0.0000
Ni2 0.5000 0.5000 0.5000
F1 0.1776 0.2287 0.8397
F2 0.2071 0.7489 0.5543
F3 0.2287 0.1776 0.3397
F4 0.2511 0.7929 0.9457
F5 0.4402 0.5598 0.2500
F6 0.5598 0.4402 0.7500
F7 0.7489 0.2071 0.0543
F8 0.7713 0.8224 0.6603
F9 0.7929 0.2511 0.4457
F10 0.8224 0.7713 0.1603

Peak list (8 most intense, 2θ = 10–90°, in order of rising 2θ)
17.44°, I = 488
23.90°, I = 458
25.60°, I = 727
26.40°, I = 1000
38.51°, I = 244
40.74°, I = 205
43.60°, I = 192
54.36°, I = 178